No. 1
Diffraction record for CuAg4I5. The X-ray diffraction stick pattern is simulated, not measured: it uses a cell relaxed with GGA-PBE and CuKα.
Peak positions follow from Bragg's law for the DFT cell and can differ from measured ones.

Largest 6 diffraction maxima, by angle, 2θ from 10° to 90°:
- 23.33°, intensity 29
- 23.72°, intensity 100
- 38.81°, intensity 47
- 39.30°, intensity 51
- 46.20°, intensity 27
- 46.42°, intensity 16

Crystal structure
```
CuAg4I5
1.0
2.293 1.324 19.063
-2.293 1.324 19.063
0.000 -2.647 19.063
Cu Ag I
1 4 5
Cartesian
0.000 0.000 0.000
0.000 0.000 11.412
0.000 0.000 22.618
0.000 0.000 34.406
0.000 0.000 45.613
0.000 0.000 8.564
0.000 0.000 19.768
0.000 0.000 31.556
0.000 0.000 42.764
0.000 0.000 54.548
```



No. 2
Diffraction record for Cu2Ag2I5. The X-ray diffraction stick pattern is simulated, not measured: it uses a cell relaxed with GGA-PBE and CuKα.
Peak positions follow from Bragg's law for the DFT cell and can differ from measured ones.

Largest 6 diffraction maxima, by angle, 2θ from 10° to 90°:
- 19.26°, intensity 38
- 23.80°, intensity 50
- 26.33°, intensity 42
- 27.07°, intensity 70
- 41.76°, intensity 100
- 43.34°, intensity 63

Crystal structure
```
Cu2Ag2I5
1.0
2.163 1.249 18.436
-2.163 1.249 18.436
0.000 -2.498 18.436
Cu Ag I
2 2 5
Cartesian
0.000 0.000 0.000
0.000 0.000 9.914
0.000 0.000 32.619
0.000 0.000 42.991
0.000 0.000 4.869
0.000 0.000 12.473
0.000 0.000 37.758
0.000 0.000 45.854
0.000 0.000 52.706
```



No. 3
Diffraction record for KCu2AgI4. The X-ray diffraction stick pattern is simulated, not measured: it uses a cell relaxed with GGA-PBE and CuKα.
Peak positions follow from Bragg's law for the DFT cell and can differ from measured ones.

Largest 6 diffraction maxima, by angle, 2θ from 10° to 90°:
- 14.05°, intensity 80
- 25.14°, intensity 100
- 25.47°, intensity 79
- 30.99°, intensity 32
- 31.35°, intensity 73
- 43.06°, intensity 51

Crystal structure
```
KCu2AgI4
1.0
7.502 0.000 0.000
0.000 8.794 0.000
0.000 0.000 9.036
K Cu Ag I
2 4 2 8
Cartesian
0.000 0.000 0.000
3.751 4.397 4.518
0.000 4.397 1.294
0.000 4.397 7.742
3.751 0.000 3.224
3.751 0.000 5.812
0.000 0.000 4.518
3.751 4.397 0.000
1.853 1.536 2.929
1.853 7.258 6.106
1.899 2.861 7.447
1.899 5.933 1.589
5.604 2.861 1.589
5.604 5.933 7.447
5.650 1.536 6.106
5.650 7.258 2.929
```



No. 4
Diffraction record for MnCuAgI5. The X-ray diffraction stick pattern is simulated, not measured: it uses a cell relaxed with GGA-PBE and CuKα.
Peak positions follow from Bragg's law for the DFT cell and can differ from measured ones.

Largest 6 diffraction maxima, by angle, 2θ from 10° to 90°:
- 21.54°, intensity 100
- 25.66°, intensity 59
- 26.51°, intensity 64
- 26.57°, intensity 47
- 30.97°, intensity 49
- 34.56°, intensity 86

Crystal structure
```
MnCuAgI5
1.0
4.547 -5.784 0.000
4.547 5.784 0.000
-0.888 0.000 11.767
Mn Cu Ag I
2 2 2 10
Cartesian
3.881 4.492 8.826
4.325 -4.492 2.942
3.881 0.775 8.826
4.325 -0.775 2.942
2.273 2.892 0.000
1.829 -2.892 5.884
4.325 4.471 2.942
2.511 1.133 2.671
3.786 2.495 6.814
3.975 2.495 10.837
2.067 -1.133 8.555
6.139 1.133 3.213
4.230 -2.495 0.931
4.419 -2.495 4.953
5.695 -1.133 9.096
3.881 -4.471 8.826
```



No. 5
Diffraction record for CuAg2IO4. The X-ray diffraction stick pattern is simulated, not measured: it uses a cell relaxed with GGA-PBE and CuKα.
Peak positions follow from Bragg's law for the DFT cell and can differ from measured ones.

Largest 6 diffraction maxima, by angle, 2θ from 10° to 90°:
- 30.93°, intensity 47
- 32.06°, intensity 45
- 32.46°, intensity 100
- 33.72°, intensity 37
- 35.08°, intensity 54
- 44.04°, intensity 25

Crystal structure
```
CuAg2IO4
1.0
5.122 0.000 0.000
-2.353 4.798 0.000
-0.009 -2.848 4.739
Cu Ag I O
1 2 1 4
Cartesian
0.000 0.000 0.000
0.167 3.269 1.830
2.584 1.327 0.830
0.192 0.205 2.946
0.251 -0.909 4.511
0.696 1.860 3.865
3.463 0.541 3.085
2.702 3.522 1.493
```



No. 6
Diffraction record for RbCuAg2I4. The X-ray diffraction stick pattern is simulated, not measured: it uses a cell relaxed with GGA-PBE and CuKα.
Peak positions follow from Bragg's law for the DFT cell and can differ from measured ones.

Largest 6 diffraction maxima, by angle, 2θ from 10° to 90°:
- 20.81°, intensity 100
- 22.56°, intensity 91
- 23.70°, intensity 83
- 38.44°, intensity 73
- 40.31°, intensity 80
- 45.06°, intensity 85

Crystal structure
```
RbCuAg2I4
1.0
10.134 0.000 0.000
0.000 7.922 0.000
0.000 0.000 7.881
Rb Cu Ag I
2 2 4 8
Cartesian
0.000 1.345 0.000
5.067 6.578 3.941
0.000 6.439 3.868
5.067 1.484 7.809
2.521 2.643 3.797
2.547 5.280 7.737
7.588 5.280 7.737
7.614 2.643 3.797
0.000 1.145 3.606
0.000 5.936 6.466
2.033 5.250 2.692
3.034 2.673 6.633
5.067 1.986 2.525
5.067 6.777 7.546
7.100 2.673 6.633
8.101 5.250 2.692
```



No. 7
Diffraction record for RbCu4Ag3I12. The X-ray diffraction stick pattern is simulated, not measured: it uses a cell relaxed with GGA-PBE and CuKα.
Peak positions follow from Bragg's law for the DFT cell and can differ from measured ones.

Largest 6 diffraction maxima, by angle, 2θ from 10° to 90°:
- 19.33°, intensity 35
- 20.04°, intensity 66
- 22.25°, intensity 40
- 25.52°, intensity 41
- 28.64°, intensity 100
- 38.87°, intensity 53

Crystal structure
```
RbCu4Ag3I12
1.0
7.596 4.385 3.996
-7.596 4.385 3.996
0.000 -8.771 3.996
Rb Cu Ag I
1 4 3 12
Cartesian
0.000 0.000 0.000
-3.191 -5.526 5.994
0.000 0.000 5.994
-3.191 5.526 5.994
6.381 0.000 5.994
-4.323 -1.283 3.996
3.273 -3.102 3.996
1.050 4.385 3.996
-1.901 -2.068 2.475
-6.262 0.000 5.994
-0.841 2.681 2.475
-2.521 0.000 5.994
2.742 -0.612 2.475
3.131 -5.423 5.994
1.260 -2.183 5.994
-0.841 -2.681 9.513
1.260 2.183 5.994
-1.901 2.068 9.513
3.131 5.423 5.994
2.742 0.612 9.513
```



No. 8
Diffraction record for In2CuAg4. The X-ray diffraction stick pattern is simulated, not measured: it uses a cell relaxed with GGA-PBE and CuKα.
Peak positions follow from Bragg's law for the DFT cell and can differ from measured ones.

Largest 6 diffraction maxima, by angle, 2θ from 10° to 90°:
- 20.33°, intensity 45
- 24.03°, intensity 52
- 37.69°, intensity 95
- 39.19°, intensity 100
- 41.33°, intensity 51
- 48.18°, intensity 46

Crystal structure
```
In2CuAg4
1.0
0.000 4.369 6.980
2.703 0.000 6.980
2.703 4.369 0.000
In Cu Ag
2 1 4
Cartesian
2.703 4.369 1.593
2.703 4.369 12.367
2.703 4.369 6.980
1.352 2.185 0.000
2.703 4.369 4.351
1.352 2.185 6.980
2.703 4.369 9.609
```